This entry pairs a crystal structure of Li4V3OF11 with its theoretical powder XRD pattern. Radiation: copper Kα. Structure: a cell relaxed with GGA+U.
Lines closer than 0.1° are merged.

Cell and atoms:
a b c (Å): 5.227 5.486 16.290
angles (deg): 80.60 89.49 88.54
Positions (direct):
Li1 0.010 0.266 0.060
Li2 0.277 0.310 0.318
Li3 0.318 0.194 0.658
Li4 0.486 0.770 0.062
Li5 0.514 0.230 0.938
Li6 0.682 0.806 0.342
Li7 0.723 0.690 0.682
Li8 0.990 0.734 0.940
V1 0.000 0.000 0.500
V2 0.007 0.318 0.837
V3 0.476 0.850 0.838
V4 0.500 0.500 0.500
V5 0.524 0.150 0.162
V6 0.993 0.682 0.163
O1 0.181 0.013 0.874
O2 0.819 0.987 0.126
F1 0.096 0.370 0.722
F2 0.107 0.058 0.386
F3 0.137 0.650 0.050
F4 0.186 0.680 0.520
F5 0.197 0.342 0.191
F6 0.306 0.514 0.877
F7 0.307 0.181 0.537
F8 0.337 0.827 0.183
F9 0.366 0.167 0.047
F10 0.417 0.877 0.720
F11 0.428 0.534 0.382
F12 0.572 0.466 0.618
F13 0.583 0.123 0.280
F14 0.634 0.833 0.953
F15 0.663 0.173 0.817
F16 0.693 0.819 0.463
F17 0.694 0.486 0.123
F18 0.803 0.658 0.809
F19 0.814 0.320 0.480
F20 0.863 0.350 0.950
F21 0.893 0.942 0.614
F22 0.904 0.630 0.278

Main lines, in order of falling intensity (15° ≤ 2θ ≤ 90°):
Position (°2θ)  d/Å  I/Imax
16.55  5.357  1000
24.67  3.608  813
25.19  3.535  418
25.30  3.520  331
48.69  1.870  182
32.66  2.742  178
61.85  1.500  169
48.77  1.867  155
33.45  2.679  145
38.70  2.327  142